1.
BaIn12: calculated powder diffraction line list (copper Kα), based on DFT lattice parameters and positions (GGA-PBE).

Atomic structure:
Cell: 12.385 12.385 12.385 Å, 90.00 90.00 90.00°
Space group Fm-3m (No. 225)
Inequivalent atoms, fractional coordinates:
Ba 0.000 0.000 0.000 x4
In 0.000 0.170 0.330 x48

Top 12 peaks for 2θ from 10° to 90°, by angle:
- 12.38°, rel. 25
- 20.28°, rel. 18
- 23.83°, rel. 100
- 24.90°, rel. 38
- 35.51°, rel. 37
- 37.74°, rel. 80
- 43.22°, rel. 45
- 43.86°, rel. 67
- 57.13°, rel. 26
- 63.77°, rel. 41
- 69.10°, rel. 15
- 76.54°, rel. 26


2.
Rb2Cd2F7: calculated powder diffraction line list (copper Kα), based on DFT lattice parameters and positions (GGA-PBE).

Atomic structure:
Cell: 7.397 8.410 6.427 Å, 90.00 90.00 90.00°
Space group Cmmm (No. 65)
Inequivalent atoms, fractional coordinates:
Rb 0.234 0.000 0.000 x4
Cd 0.000 0.274 0.500 x4
F 0.000 0.000 0.500 x2
F 0.000 0.500 0.291 x4
F 0.250 0.250 0.284 x8

Top 12 peaks for 2θ from 10° to 90°, by angle:
- 13.78°, rel. 13
- 25.31°, rel. 83
- 27.81°, rel. 100
- 32.23°, rel. 20
- 43.04°, rel. 78
- 47.64°, rel. 13
- 49.15°, rel. 17
- 49.27°, rel. 12
- 52.01°, rel. 27
- 56.19°, rel. 16
- 67.34°, rel. 19
- 78.88°, rel. 14


3.
DyYTm4Sc2: calculated powder diffraction line list (copper Kα), based on DFT lattice parameters and positions (GGA-PBE).

Atomic structure:
Cell: 6.943 6.943 11.131 Å, 90.02 90.00 119.96°
Space group P-1 (No. 2)
Inequivalent atoms, fractional coordinates:
Dy 0.000 0.000 0.000 x1
Dy 0.500 0.000 0.000 x1
Y 0.000 0.000 0.500 x1
Y 0.000 0.500 0.000 x1
Tm 0.168 0.832 0.255 x2
Tm 0.169 0.335 0.253 x2
Tm 0.334 0.667 0.743 x2
Tm 0.336 0.170 0.748 x2
Sc 0.000 0.500 0.500 x1
Sc 0.500 0.000 0.500 x1
Sc 0.500 0.500 0.000 x1
Sc 0.500 0.500 0.500 x1

Top 12 peaks for 2θ from 10° to 90°, by angle:
- 15.92°, rel. 23
- 30.80°, rel. 99
- 32.17°, rel. 42
- 33.88°, rel. 100
- 38.54°, rel. 53
- 51.04°, rel. 25
- 52.73°, rel. 32
- 58.45°, rel. 21
- 62.32°, rel. 14
- 63.12°, rel. 36
- 64.16°, rel. 15
- 87.63°, rel. 14


4.
U3Mn6P5: calculated powder diffraction line list (copper Kα), based on DFT lattice parameters and positions (GGA-PBE).

Atomic structure:
Cell: 3.816 11.479 9.120 Å, 90.00 90.00 90.00°
Space group Pmmn (No. 59, origin choice 2)
Inequivalent atoms, fractional coordinates:
U 0.250 0.091 0.240 x4
U 0.250 0.750 0.258 x2
Mn 0.250 0.054 0.904 x4
Mn 0.250 0.250 0.031 x2
Mn 0.250 0.250 0.518 x2
Mn 0.250 0.578 0.490 x4
P 0.250 0.076 0.654 x4
P 0.250 0.627 0.992 x4
P 0.250 0.750 0.618 x2

Top 12 peaks for 2θ from 10° to 90°, by angle:
- 19.47°, rel. 20
- 25.27°, rel. 100
- 33.16°, rel. 31
- 37.82°, rel. 80
- 38.74°, rel. 97
- 39.53°, rel. 16
- 47.53°, rel. 16
- 47.66°, rel. 21
- 55.85°, rel. 21
- 62.34°, rel. 35
- 71.17°, rel. 15
- 76.37°, rel. 17


5.
Sm2GaTe4: calculated powder diffraction line list (copper Kα), based on DFT lattice parameters and positions (GGA-PBE).

Atomic structure:
Cell: 15.868 4.391 7.751 Å, 90.00 118.76 90.00°
Space group C2/m (No. 12)
Inequivalent atoms, fractional coordinates:
Sm 0.242 0.000 0.229 x4
Ga 0.000 0.500 0.500 x2
Te 0.113 0.500 0.939 x4
Te 0.124 0.000 0.462 x4

Top 12 peaks for 2θ from 10° to 90°, by angle:
- 12.73°, rel. 19
- 26.42°, rel. 47
- 26.58°, rel. 100
- 34.51°, rel. 23
- 34.81°, rel. 44
- 34.96°, rel. 47
- 40.51°, rel. 49
- 41.11°, rel. 24
- 45.87°, rel. 15
- 49.53°, rel. 17
- 52.64°, rel. 10
- 54.73°, rel. 12


6.
AcZnPt3: calculated powder diffraction line list (copper Kα), based on DFT lattice parameters and positions (GGA-PBE).

Atomic structure:
Cell: 5.659 4.422 8.637 Å, 90.00 90.00 90.00°
Space group Pmn2_1 (No. 31)
Inequivalent atoms, fractional coordinates:
Ac 0.000 0.003 0.000 x2
Zn 0.000 0.496 0.527 x2
Pt 0.000 0.997 0.354 x2
Pt 0.243 0.503 0.772 x4

Top 12 peaks for 2θ from 10° to 90°, by angle:
- 20.57°, rel. 39
- 27.60°, rel. 54
- 28.90°, rel. 90
- 34.97°, rel. 26
- 37.74°, rel. 100
- 38.02°, rel. 69
- 40.65°, rel. 71
- 40.81°, rel. 58
- 43.36°, rel. 44
- 57.00°, rel. 43
- 73.84°, rel. 25
- 88.00°, rel. 24


7.
DyTlCrCl6: calculated powder diffraction line list (copper Kα), based on DFT lattice parameters and positions (GGA-PBE).

Atomic structure:
Cell: 6.975 11.356 7.180 Å, 90.00 93.03 90.00°
Space group C2 (No. 5)
Inequivalent atoms, fractional coordinates:
Dy 0.000 0.000 0.000 x2
Tl 0.000 0.675 0.500 x2
Cr 0.000 0.341 0.000 x2
Cl 0.125 0.188 0.203 x4
Cl 0.175 0.487 0.184 x4
Cl 0.180 0.862 0.237 x4

Top 12 peaks for 2θ from 10° to 90°, by angle:
- 18.97°, rel. 100
- 19.84°, rel. 88
- 19.95°, rel. 98
- 25.58°, rel. 25
- 26.81°, rel. 38
- 32.11°, rel. 27
- 33.18°, rel. 23
- 34.96°, rel. 35
- 36.38°, rel. 33
- 37.34°, rel. 59
- 40.99°, rel. 36
- 45.85°, rel. 33


8.
V3HW: calculated powder diffraction line list (copper Kα), based on DFT lattice parameters and positions (GGA-PBE).

Atomic structure:
Cell: 2.694 4.259 5.293 Å, 90.00 104.25 90.00°
Space group P2/m (No. 10)
Inequivalent atoms, fractional coordinates:
V 0.000 0.000 0.000 x1
V 0.282 0.500 0.737 x2
H 0.000 0.500 0.000 x1
W 0.500 0.000 0.500 x1

Top 12 peaks for 2θ from 10° to 90°, by angle:
- 17.28°, rel. 73
- 20.86°, rel. 42
- 27.21°, rel. 41
- 34.35°, rel. 17
- 40.66°, rel. 100
- 41.08°, rel. 99
- 42.50°, rel. 91
- 48.18°, rel. 17
- 56.62°, rel. 18
- 61.67°, rel. 29
- 73.26°, rel. 18
- 76.72°, rel. 18